Calculated X-ray powder pattern of KMnCdBr5 for Cu Kα, from a structure optimized by DFT (GGA-PBE).

Principal peaks in the range 10 to 90 degrees two-theta, sorted by position:
d_spacing  I_rel
7.138  68
4.602  67
3.311  100
2.814  56
2.477  61
2.010  49

Structure:
```
KMnCdBr5
1.0
4.686 -6.297 0.000
4.686 6.297 0.000
-3.823 0.000 9.266
K Mn Cd Br
2 2 2 10
direct
0.154 0.846 0.750
0.846 0.154 0.250
0.184 0.816 0.250
0.816 0.184 0.750
0.500 0.500 0.000
0.500 0.500 0.500
0.118 0.246 0.939
0.177 0.587 0.387
0.246 0.118 0.439
0.413 0.823 0.113
0.417 0.583 0.750
0.583 0.417 0.250
0.587 0.177 0.887
0.754 0.882 0.561
0.823 0.413 0.613
0.882 0.754 0.061
```